Computed powder XRD pattern of Li2VO3F for λ = 1.5418 Å (Cu Kα), from a DFT-relaxed cell (GGA+U, Alexandria).

Atomic structure:
Unit cell a=7.8458 b=8.3478 c=9.4251 alpha=90.00 beta=113.19 gamma=90.00
Space group Cc (No. 9)
Inequivalent atoms, fractional coordinates:
Li 0.0000 0.1053 0.0000 (multiplicity 4)
Li 0.1164 0.1145 0.7468 (multiplicity 4)
Li 0.3713 0.3822 0.7734 (multiplicity 4)
Li 0.3864 0.1304 0.2876 (multiplicity 4)
V 0.0134 0.3489 0.5077 (multiplicity 4)
V 0.0814 0.3574 0.2199 (multiplicity 4)
O 0.0991 0.3872 0.7133 (multiplicity 4)
O 0.1057 0.1501 0.2281 (multiplicity 4)
O 0.2087 0.3821 0.4649 (multiplicity 4)
O 0.3834 0.1230 0.7706 (multiplicity 4)
O 0.4946 0.1178 0.5219 (multiplicity 4)
O 0.4970 0.3543 0.0060 (multiplicity 4)
F 0.2447 0.1213 0.9758 (multiplicity 4)
F 0.3649 0.3788 0.2673 (multiplicity 4)

Largest 10 diffraction maxima, in order of rising 2θ, 2θ = 10–90°:
h k l, 2theta, I (rel.)
1 1 0, 16.24, 100
1 1 -1, 16.42, 32
1 1 1, 21.68, 63
0 2 1, 23.66, 68
2 0 0, 24.69, 54
2 0 -2, 25.15, 29
1 1 -3, 30.40, 38
0 0 4, 41.70, 54
0 4 0, 43.36, 55
4 0 -2, 46.30, 46